Y2ZnNi: calculated powder diffraction line list (Cu Kα), based on a PBE-relaxed structure.
Kinematic intensities with the Lorentz-polarization factor, no thermal factor.

```
16
Lattice="6.767 0.000 0.000 0.000 6.767 0.000 0.000 0.000 6.767" Properties=species:S:1:pos:R:3 pbc="T T T"
Y 0.000 0.000 0.000
Y 0.000 3.383 3.383
Y 1.692 1.692 1.692
Y 1.692 5.075 5.075
Y 3.383 0.000 3.383
Y 3.383 3.383 0.000
Y 5.075 1.692 5.075
Y 5.075 5.075 1.692
Zn 0.000 0.000 3.383
Zn 0.000 3.383 0.000
Zn 3.383 0.000 0.000
Zn 3.383 3.383 3.383
Ni 1.692 1.692 5.075
Ni 1.692 5.075 1.692
Ni 5.075 1.692 1.692
Ni 5.075 5.075 5.075
```

Main lines, by angle (2θ from 5° to 70°):
2theta  intensity
22.76  3
37.60  100
44.40  1
54.22  17
59.55  1
67.85  33